For CuMoIO4, a PBE+U-relaxed structure gives the computed powder X-ray diffraction pattern in this record (Cu Ka).
Lines closer than 0.1° are merged.

The 12 most intense peaks (15 to 90 degrees two-theta), low angle first:
- 2θ 20.94, 4.242 Å, I = 26
- 2θ 22.49, 3.953 Å, I = 99
- 2θ 23.84, 3.733 Å, I = 75
- 2θ 26.89, 3.316 Å, I = 100
- 2θ 31.07, 2.878 Å, I = 36
- 2θ 31.26, 2.862 Å, I = 53
- 2θ 34.90, 2.571 Å, I = 31
- 2θ 35.33, 2.540 Å, I = 40
- 2θ 35.97, 2.497 Å, I = 29
- 2θ 36.23, 2.479 Å, I = 30
- 2θ 41.78, 2.162 Å, I = 34
- 2θ 42.69, 2.118 Å, I = 25

Structure:
```
data_CuMoIO4
_chemical_formula_sum 'Cu2 Mo2 I2 O8'
_cell_length_a 5.8965
_cell_length_b 5.8965
_cell_length_c 8.0999
_cell_angle_alpha 100.39
_cell_angle_beta 100.39
_cell_angle_gamma 68.44
_space_group_name_H-M_alt 'P 1'
_space_group_IT_number 1
loop_
_space_group_symop_operation_xyz
'x,y,z'
loop_
_atom_site_label
_atom_site_type_symbol
_atom_site_fract_x
_atom_site_fract_y
_atom_site_fract_z
Cu1 Cu 0.2447 0.2447 0.2126
Cu2 Cu 0.7553 0.7553 0.7874
Mo1 Mo 0.3784 0.3784 0.7596
Mo2 Mo 0.6216 0.6216 0.2404
I1 I 0.0235 0.0235 0.3349
I2 I 0.9765 0.9765 0.6651
O1 O 0.0628 0.5071 0.8168
O2 O 0.3541 0.3541 0.5401
O3 O 0.4341 0.4341 0.1523
O4 O 0.4929 0.9372 0.1832
O5 O 0.5071 0.0628 0.8168
O6 O 0.5659 0.5659 0.8477
O7 O 0.6459 0.6459 0.4599
O8 O 0.9372 0.4929 0.1832
```